Starting from the PBE geometry in the Materials Project, the PXRD pattern of Pd7Se2 was simulated for Cu Kα X-rays.

Structural model:
```
data_Pd7Se2
_cell_length_a 5.6240
_cell_length_b 5.4442
_cell_length_c 9.5774
_cell_angle_alpha 90.00
_cell_angle_beta 93.65
_cell_angle_gamma 90.00
_space_group_name_H-M_alt 'P 1 21/c 1'
_space_group_IT_number 14
_space_group_name_Hall '-P 2ybc'
loop_
_atom_site_label
_atom_site_type_symbol
_atom_site_fract_x
_atom_site_fract_y
_atom_site_fract_z
Pd1 Pd 0.0000 0.0000 0.0000
Pd2 Pd 0.0734 0.1573 0.2920
Pd3 Pd 0.2940 0.0814 0.5728
Pd4 Pd 0.4674 0.5987 0.6486
Se1 Se 0.2741 0.7281 0.8783
```

The 10 most intense peaks (10° ≤ 2θ ≤ 80°), low angle first:
- hkl 2 0 -2, 2θ = 36.0°, d 2.491, I = 42
- hkl 2 1 -1, 2θ = 36.7°, d 2.448, I = 63
- hkl 1 1 3, 2θ = 37.2°, d 2.417, I = 100
- hkl 1 2 -1, 2θ = 37.7°, d 2.389, I = 100
- hkl 1 0 -4, 2θ = 40.1°, d 2.251, I = 61
- hkl 1 2 -2, 2θ = 40.9°, d 2.205, I = 52
- hkl 0 1 4, 2θ = 41.3°, d 2.188, I = 30
- hkl 2 1 2, 2θ = 41.8°, d 2.162, I = 76
- hkl 0 2 3, 2θ = 43.7°, d 2.070, I = 38
- hkl 3 1 -2, 2θ = 54.2°, d 1.693, I = 29